Diffraction record for SrAsO5. The X-ray diffraction stick pattern is calculated, not measured: it uses a structure optimized by DFT (GGA-PBE) and CuKα.
No peak broadening, texture or thermal motion is included.

Cell and atoms:
a b c (Å): 7.140 9.327 13.158
angles (deg): 90.00 90.00 90.00
Space group Pbca (No. 61)
Asymmetric unit:
Sr (0.127, 0.177, 0.074)
As (0.137, 0.058, 0.372)
O (0.019, 0.668, 0.069)
O (0.043, 0.610, 0.841)
O (0.173, 0.539, 0.450)
O (0.180, 0.586, 0.697)
O (0.213, 0.123, 0.255)

Most intense lines, 10° ≤ 2θ ≤ 90°, sorted by position:
| (hkl) | 2theta | Rel. int. |
| --- | --- | --- |
| 0 2 1 | 20.20 | 62 |
| 1 1 3 | 25.68 | 41 |
| 1 2 2 | 26.55 | 94 |
| 2 1 0 | 26.74 | 61 |
| 2 1 1 | 27.60 | 100 |
| 0 2 3 | 27.93 | 83 |
| 2 1 3 | 33.77 | 32 |
| 1 4 1 | 41.31 | 57 |